Diffraction record for Pm2TaAgO6. The powder diffraction line list is simulated, not measured: it uses a crystal structure in Alexandria, relaxed with GGA-PBE and Cu Kα.

Cell: 5.351 5.351 5.471 Å, 90.00 90.00 90.00°
Space group P4mm (No. 99)
Symmetry-distinct sites (fractional):
Pm  0.000  0.500  0.000
Ta  0.000  0.000  0.608
Ag  0.500  0.500  0.497
O  0.000  0.000  0.255
O  0.234  0.234  0.753
O  0.500  0.500  0.114

Peak list (8 most intense, 10 to 80 degrees two-theta, by intensity)
- hkl 1 1 1, 2θ = 28.69°, I 1000
- hkl 2 0 0, 2θ = 33.50°, I 350
- hkl 3 1 1, 2θ = 56.97°, I 293
- hkl 2 0 2, 2θ = 47.54°, I 235
- hkl 2 2 0, 2θ = 48.10°, I 187
- hkl 0 0 2, 2θ = 32.74°, I 100
- hkl 0 0 1, 2θ = 16.20°, I 91
- hkl 1 0 1, 2θ = 23.25°, I 85

Diffraction record for AlH12Cl3O6. The powder diffraction line list is simulated, not measured: it uses a crystal structure in Alexandria, relaxed with GGA-PBE and Cu Kα.

Cell: 11.6890 11.6890 12.6206 Å, 90.00 90.00 120.00°
Space group R-3c (No. 167, hexagonal axes)
Symmetry-distinct sites (fractional):
Al  0.0000  0.0000  0.0000
H  0.0007  0.2041  0.4138
H  0.0690  0.1854  0.6408
Cl  0.0000  0.2640  0.7500
O  0.0440  0.1494  0.0867

Peak list (8 most intense, 10 to 80 degrees two-theta, by intensity)
- hkl 1 1 3, 2θ = 26.10°, I 1000
- hkl 1 2 2, 2θ = 27.26°, I 518
- hkl 1 3 4, 2θ = 43.13°, I 393
- hkl 3 2 1, 2θ = 39.45°, I 363
- hkl 2 1 1, 2θ = 24.31°, I 334
- hkl 0 1 2, 2θ = 16.55°, I 279
- hkl 3 1 2, 2θ = 34.98°, I 269
- hkl 2 0 2, 2θ = 22.52°, I 241

Diffraction record for Y2Sc4Ge3O2. The powder diffraction line list is simulated, not measured: it uses a crystal structure in Alexandria, relaxed with GGA-PBE and Cu Kα.

Cell: 4.275 4.275 23.012 Å, 90.00 90.00 90.00°
Space group I4/mmm (No. 139)
Symmetry-distinct sites (fractional):
Y  0.000  0.000  0.196
Sc  0.000  0.500  0.079
Ge  0.000  0.000  0.328
Ge  0.000  0.000  0.500
O  0.000  0.000  0.090

Peak list (8 most intense, 10 to 80 degrees two-theta, by intensity)
- hkl 1 1 6, 2θ = 37.90°, I 1000
- hkl 2 0 0, 2θ = 42.28°, I 679
- hkl 1 1 2, 2θ = 30.58°, I 482
- hkl 1 0 7, 2θ = 34.41°, I 453
- hkl 1 1 0, 2θ = 29.55°, I 331
- hkl 3 1 6, 2θ = 74.41°, I 259
- hkl 0 0 8, 2θ = 31.09°, I 226
- hkl 2 1 7, 2θ = 55.61°, I 215

Diffraction record for KGeSb. The powder diffraction line list is simulated, not measured: it uses a crystal structure in Alexandria, relaxed with GGA-PBE and Cu Kα.

Cell: 4.1862 4.1862 19.5885 Å, 90.00 90.00 120.00°
Space group R3m (No. 160, hexagonal axes)
Symmetry-distinct sites (fractional):
K  0.0000  0.0000  0.0000
Ge  0.0000  0.0000  0.7920
Sb  0.0000  0.0000  0.5267

Peak list (8 most intense, 10 to 80 degrees two-theta, by intensity)
- hkl 1 0 4, 2θ = 30.68°, I 1000
- hkl 0 0 3, 2θ = 13.56°, I 643
- hkl 1 1 0, 2θ = 43.22°, I 431
- hkl 1 0 1, 2θ = 24.98°, I 407
- hkl 0 1 2, 2θ = 26.21°, I 249
- hkl 0 1 8, 2θ = 44.66°, I 240
- hkl 1 0 7, 2θ = 40.73°, I 220
- hkl 0 1 5, 2θ = 33.68°, I 201

Diffraction record for Pr8Mg3Os2. The powder diffraction line list is simulated, not measured: it uses a crystal structure in Alexandria, relaxed with GGA-PBE and Cu Kα.

Cell: 18.385 8.402 5.024 Å, 90.00 92.37 90.00°
Space group C2/m (No. 12)
Symmetry-distinct sites (fractional):
Pr  0.073  0.000  0.262
Pr  0.167  0.500  0.241
Pr  0.172  0.218  0.753
Mg  0.000  0.321  0.000
Mg  0.000  0.500  0.500
Os  0.227  0.000  0.225

Peak list (8 most intense, 10 to 80 degrees two-theta, by intensity)
- hkl 2 2 1, 2θ = 29.63°, I 1000
- hkl 0 0 2, 2θ = 35.80°, I 731
- hkl 2 2 -1, 2θ = 29.13°, I 687
- hkl 5 1 -1, 2θ = 31.43°, I 502
- hkl 5 1 1, 2θ = 32.58°, I 358
- hkl 0 4 0, 2θ = 43.06°, I 254
- hkl 4 2 -1, 2θ = 33.55°, I 246
- hkl 6 2 0, 2θ = 36.31°, I 242

Diffraction record for Ba2NaI6. The powder diffraction line list is simulated, not measured: it uses a crystal structure in Alexandria, relaxed with GGA-PBE and Cu Kα.

Cell: 8.070 9.194 13.136 Å, 90.00 125.15 90.00°
Space group P2_1/c (No. 14)
Symmetry-distinct sites (fractional):
Ba  0.207  0.126  0.246
Na  0.500  0.000  0.000
I  0.106  0.166  0.934
I  0.279  0.679  0.944
I  0.376  0.030  0.728

Peak list (8 most intense, 10 to 80 degrees two-theta, by intensity)
- hkl 1 3 -1, 2θ = 31.22°, I 1000
- hkl 2 1 -1, 2θ = 25.17°, I 916
- hkl 0 2 3, 2θ = 31.68°, I 893
- hkl 1 0 -4, 2θ = 27.74°, I 874
- hkl 0 2 2, 2θ = 25.51°, I 813
- hkl 1 1 2, 2θ = 28.50°, I 780
- hkl 2 1 -3, 2θ = 25.86°, I 681
- hkl 2 1 -2, 2θ = 24.11°, I 665

Repeat the fourth record exactly.
Diffraction record for KGeSb. The powder diffraction line list is simulated, not measured: it uses a crystal structure in Alexandria, relaxed with GGA-PBE and Cu Kα.

Cell: 4.1862 4.1862 19.5885 Å, 90.00 90.00 120.00°
Space group R3m (No. 160, hexagonal axes)
Symmetry-distinct sites (fractional):
K  0.0000  0.0000  0.0000
Ge  0.0000  0.0000  0.7920
Sb  0.0000  0.0000  0.5267

Peak list (8 most intense, 10 to 80 degrees two-theta, by intensity)
- hkl 1 0 4, 2θ = 30.68°, I 1000
- hkl 0 0 3, 2θ = 13.56°, I 643
- hkl 1 1 0, 2θ = 43.22°, I 431
- hkl 1 0 1, 2θ = 24.98°, I 407
- hkl 0 1 2, 2θ = 26.21°, I 249
- hkl 0 1 8, 2θ = 44.66°, I 240
- hkl 1 0 7, 2θ = 40.73°, I 220
- hkl 0 1 5, 2θ = 33.68°, I 201